This entry pairs a crystal structure of KSbIr3 with its calculated XRD peak list. Radiation: Cu Kα. Structure: DFT lattice parameters and positions (GGA-PBE).

Main lines, low angle first (15 to 90 degrees two-theta):
d (Å)	I/Imax
4.973	77
2.871	88
2.486	100
2.224	40
1.758	71
1.658	20
1.499	38
1.435	24
1.141	16
1.112	33

```
data_KSbIr3
_cell_length_a 4.973
_cell_length_b 4.973
_cell_length_c 4.973
_cell_angle_alpha 90.00
_cell_angle_beta 90.00
_cell_angle_gamma 90.00
_symmetry_space_group_name_H-M 'P 1'
_symmetry_Int_Tables_number 1
loop_
_symmetry_equiv_pos_as_xyz
'x,y,z'
loop_
_atom_site_label
_atom_site_type_symbol
_atom_site_fract_x
_atom_site_fract_y
_atom_site_fract_z
_atom_site_occupancy
K1 K 0.000 0.000 0.000 1
Sb1 Sb 0.500 0.500 0.500 1
Ir1 Ir 0.000 0.500 0.500 1
Ir2 Ir 0.500 0.000 0.500 1
Ir3 Ir 0.500 0.500 0.000 1
```



This entry pairs a crystal structure of KIr2Se4 with its calculated XRD peak list. Radiation: Cu Kα. Structure: DFT lattice parameters and positions (GGA-PBE).

Main lines, low angle first (15 to 90 degrees two-theta):
d (Å)	I/Imax
3.270	17
2.838	100
2.302	17
2.290	34
2.145	15
1.920	13
1.893	25
1.859	16
1.740	15
1.444	12

```
data_KIr2Se4
_cell_length_a 6.527
_cell_length_b 3.840
_cell_length_c 7.806
_cell_angle_alpha 90.00
_cell_angle_beta 107.10
_cell_angle_gamma 90.00
_symmetry_space_group_name_H-M 'P 1'
_symmetry_Int_Tables_number 1
loop_
_symmetry_equiv_pos_as_xyz
'x,y,z'
loop_
_atom_site_label
_atom_site_type_symbol
_atom_site_fract_x
_atom_site_fract_y
_atom_site_fract_z
_atom_site_occupancy
K1 K 0.000 0.000 0.000 1
Ir1 Ir 0.000 0.500 0.500 1
Ir2 Ir 0.500 0.000 0.500 1
Se1 Se 0.225 0.000 0.666 1
Se2 Se 0.278 0.500 0.334 1
Se3 Se 0.722 0.500 0.666 1
Se4 Se 0.775 0.000 0.334 1
```



This entry pairs a crystal structure of K2Sr6Ir with its calculated XRD peak list. Radiation: Cu Kα. Structure: DFT lattice parameters and positions (GGA-PBE).

Main lines, low angle first (15 to 90 degrees two-theta):
d (Å)	I/Imax
3.713	31
3.555	55
3.079	100
2.754	36
2.370	23
2.177	74
1.857	23
1.778	25
1.377	32
1.257	23

```
data_K2Sr6Ir
_cell_length_a 8.707
_cell_length_b 8.707
_cell_length_c 8.711
_cell_angle_alpha 120.02
_cell_angle_beta 120.02
_cell_angle_gamma 60.03
_symmetry_space_group_name_H-M 'P 1'
_symmetry_Int_Tables_number 1
loop_
_symmetry_equiv_pos_as_xyz
'x,y,z'
loop_
_atom_site_label
_atom_site_type_symbol
_atom_site_fract_x
_atom_site_fract_y
_atom_site_fract_z
_atom_site_occupancy
K1 K 0.250 0.250 0.250 1
K2 K 0.750 0.750 0.750 1
Sr1 Sr 0.239 0.239 0.740 1
Sr2 Sr 0.239 0.761 0.261 1
Sr3 Sr 0.239 0.761 0.739 1
Sr4 Sr 0.761 0.239 0.261 1
Sr5 Sr 0.761 0.239 0.739 1
Sr6 Sr 0.761 0.761 0.260 1
Ir1 Ir 0.000 0.000 0.500 1
```



This entry pairs a crystal structure of K2TaIr with its calculated XRD peak list. Radiation: Cu Kα. Structure: DFT lattice parameters and positions (GGA-PBE).

Main lines, low angle first (15 to 90 degrees two-theta):
d (Å)	I/Imax
5.643	99
3.762	54
3.322	31
3.122	100
3.073	54
2.770	78
2.705	34
2.398	38
2.071	36
1.930	40

```
data_K2TaIr
_cell_length_a 6.697
_cell_length_b 3.846
_cell_length_c 11.430
_cell_angle_alpha 90.00
_cell_angle_beta 99.10
_cell_angle_gamma 90.00
_symmetry_space_group_name_H-M 'P 1'
_symmetry_Int_Tables_number 1
loop_
_symmetry_equiv_pos_as_xyz
'x,y,z'
loop_
_atom_site_label
_atom_site_type_symbol
_atom_site_fract_x
_atom_site_fract_y
_atom_site_fract_z
_atom_site_occupancy
K1 K 0.000 0.000 0.000 1
K2 K 0.172 0.000 0.613 1
K3 K 0.500 0.500 0.000 1
K4 K 0.672 0.500 0.613 1
Ta1 Ta 0.422 0.000 0.321 1
Ta2 Ta 0.922 0.500 0.321 1
Ir1 Ir 0.228 0.500 0.226 1
Ir2 Ir 0.728 0.000 0.226 1
```



This entry pairs a crystal structure of KTc2Ir with its calculated XRD peak list. Radiation: Cu Kα. Structure: DFT lattice parameters and positions (GGA-PBE).

Main lines, low angle first (15 to 90 degrees two-theta):
d (Å)	I/Imax
3.458	26
2.765	78
2.245	43
2.217	100
2.185	63
2.136	52
1.919	32
1.900	42
1.769	28
1.350	27

```
data_KTc2Ir
_cell_length_a 2.717
_cell_length_b 3.837
_cell_length_c 7.973
_cell_angle_alpha 90.00
_cell_angle_beta 90.00
_cell_angle_gamma 90.00
_symmetry_space_group_name_H-M 'P 1'
_symmetry_Int_Tables_number 1
loop_
_symmetry_equiv_pos_as_xyz
'x,y,z'
loop_
_atom_site_label
_atom_site_type_symbol
_atom_site_fract_x
_atom_site_fract_y
_atom_site_fract_z
_atom_site_occupancy
K1 K 0.000 0.000 0.000 1
Tc1 Tc 0.000 0.000 0.513 1
Tc2 Tc 0.500 0.500 0.360 1
Ir1 Ir 0.500 0.500 0.678 1
```



This entry pairs a crystal structure of LaIr2 with its calculated XRD peak list. Radiation: Cu Kα. Structure: DFT lattice parameters and positions (GGA-PBE).

Main lines, low angle first (15 to 90 degrees two-theta):
d (Å)	I/Imax
4.691	63
2.911	60
2.346	50
2.291	95
2.277	100
1.877	56
1.660	24
1.466	25
1.355	24
1.262	23

```
data_LaIr2
_cell_length_a 5.249
_cell_length_b 5.249
_cell_length_c 9.382
_cell_angle_alpha 90.00
_cell_angle_beta 90.00
_cell_angle_gamma 90.00
_symmetry_space_group_name_H-M 'P 1'
_symmetry_Int_Tables_number 1
loop_
_symmetry_equiv_pos_as_xyz
'x,y,z'
loop_
_atom_site_label
_atom_site_type_symbol
_atom_site_fract_x
_atom_site_fract_y
_atom_site_fract_z
_atom_site_occupancy
La1 La 0.000 0.000 0.250 1
La2 La 0.000 0.000 0.750 1
La3 La 0.500 0.500 0.250 1
La4 La 0.500 0.500 0.750 1
Ir1 Ir 0.177 0.323 0.000 1
Ir2 Ir 0.177 0.677 0.500 1
Ir3 Ir 0.323 0.177 0.500 1
Ir4 Ir 0.323 0.823 0.000 1
Ir5 Ir 0.677 0.177 0.000 1
Ir6 Ir 0.677 0.823 0.500 1
Ir7 Ir 0.823 0.323 0.500 1
Ir8 Ir 0.823 0.677 0.000 1
```



This entry pairs a crystal structure of La4Ir with its calculated XRD peak list. Radiation: Cu Kα. Structure: DFT lattice parameters and positions (GGA-PBE).

Main lines, low angle first (15 to 90 degrees two-theta):
d (Å)	I/Imax
4.773	41
3.362	25
3.305	17
3.058	100
2.988	44
2.387	45
2.353	24
2.012	18
1.953	32
1.857	23

```
data_La4Ir
_cell_length_a 7.816
_cell_length_b 6.610
_cell_length_c 8.049
_cell_angle_alpha 90.00
_cell_angle_beta 120.99
_cell_angle_gamma 90.00
_symmetry_space_group_name_H-M 'P 1'
_symmetry_Int_Tables_number 1
loop_
_symmetry_equiv_pos_as_xyz
'x,y,z'
loop_
_atom_site_label
_atom_site_type_symbol
_atom_site_fract_x
_atom_site_fract_y
_atom_site_fract_z
_atom_site_occupancy
La1 La 0.159 0.237 0.329 1
La2 La 0.159 0.263 0.829 1
La3 La 0.319 0.750 0.159 1
La4 La 0.319 0.750 0.659 1
La5 La 0.681 0.250 0.341 1
La6 La 0.681 0.250 0.841 1
La7 La 0.841 0.737 0.171 1
La8 La 0.841 0.763 0.671 1
Ir1 Ir 0.500 0.000 0.000 1
Ir2 Ir 0.500 0.500 0.500 1
```



This entry pairs a crystal structure of La7Ir5 with its calculated XRD peak list. Radiation: Cu Kα. Structure: DFT lattice parameters and positions (GGA-PBE).

Main lines, low angle first (15 to 90 degrees two-theta):
d (Å)	I/Imax
3.947	47
3.913	52
3.073	39
3.050	100
3.007	39
2.907	85
2.798	62
2.643	37
2.292	36
2.052	53

```
data_La7Ir5
_cell_length_a 7.178
_cell_length_b 7.178
_cell_length_c 12.416
_cell_angle_alpha 104.85
_cell_angle_beta 104.85
_cell_angle_gamma 33.22
_symmetry_space_group_name_H-M 'P 1'
_symmetry_Int_Tables_number 1
loop_
_symmetry_equiv_pos_as_xyz
'x,y,z'
loop_
_atom_site_label
_atom_site_type_symbol
_atom_site_fract_x
_atom_site_fract_y
_atom_site_fract_z
_atom_site_occupancy
La1 La 0.000 0.000 0.000 1
La2 La 0.155 0.155 0.549 1
La3 La 0.238 0.238 0.859 1
La4 La 0.457 0.457 0.715 1
La5 La 0.543 0.543 0.285 1
La6 La 0.762 0.762 0.141 1
La7 La 0.845 0.845 0.451 1
Ir1 Ir 0.197 0.197 0.312 1
Ir2 Ir 0.385 0.385 0.076 1
Ir3 Ir 0.500 0.500 0.500 1
Ir4 Ir 0.615 0.615 0.924 1
Ir5 Ir 0.803 0.803 0.688 1
```



> What is the formula in the second record?

KIr2Se4